[1]
This entry pairs a crystal structure of FeH8S2NO10 with its computed powder X-ray diffraction pattern. Radiation: Cu Kα (λ = 1.5418 Å). Structure: a PBE+U-relaxed structure.
Peak positions follow from Bragg's law for the DFT cell and can differ from measured ones.

Structure:
a b c (Å): 4.588 5.793 8.708
angles (deg): 100.77 98.51 97.39
Space group P1 (No. 1)
One atom of each set of equivalent atoms:
Fe 0.000 0.000 0.000 [1 per cell]
H 0.044 0.656 0.164 [1 per cell]
H 0.080 0.169 0.576 [1 per cell]
H 0.154 0.896 0.508 [1 per cell]
H 0.374 0.724 0.122 [1 per cell]
H 0.628 0.279 0.881 [1 per cell]
H 0.814 0.926 0.550 [1 per cell]
H 0.922 0.024 0.391 [1 per cell]
H 0.954 0.346 0.837 [1 per cell]
S 0.394 0.703 0.768 [1 per cell]
S 0.602 0.301 0.226 [1 per cell]
N 0.991 0.003 0.505 [1 per cell]
O 0.185 0.781 0.133 [1 per cell]
O 0.208 0.891 0.819 [1 per cell]
O 0.224 0.462 0.752 [1 per cell]
O 0.344 0.265 0.087 [1 per cell]
O 0.488 0.743 0.621 [1 per cell]
O 0.502 0.273 0.372 [1 per cell]
O 0.657 0.731 0.902 [1 per cell]
O 0.774 0.538 0.234 [1 per cell]
O 0.790 0.107 0.181 [1 per cell]
O 0.814 0.220 0.866 [1 per cell]

Peak list (10 most intense, 2θ from 10° to 90°, low angle first)
(hkl), two_theta, I (rel.)
0 0 1, 10.51, 100.0
0 1 -1, 17.04, 69.8
0 1 -2, 23.60, 17.3
1 0 1, 24.10, 22.8
-1 1 1, 25.57, 31.2
1 0 -2, 26.37, 20.9
1 1 0, 27.40, 29.1
0 1 2, 29.06, 13.9
1 1 1, 31.83, 25.8
1 2 0, 40.57, 14.3

[2]
This entry pairs a crystal structure of Fe3H10S2NO14 with its computed powder X-ray diffraction pattern. Radiation: Cu Kα (λ = 1.5418 Å). Structure: a PBE+U-relaxed structure.
Peak positions follow from Bragg's law for the DFT cell and can differ from measured ones.

Structure:
a b c (Å): 7.4425 7.4425 17.6927
angles (deg): 90.00 90.00 120.00
Space group R3m (No. 160, hexagonal axes)
One atom of each set of equivalent atoms:
Fe 0.9996 0.4998 0.0000 [9 per cell]
H 0.0000 0.0000 0.4435 [3 per cell]
H 0.0544 0.5272 0.7245 [9 per cell]
H 0.0746 0.1492 0.5219 [9 per cell]
H 0.1993 0.3986 0.6153 [9 per cell]
S 0.0000 0.0000 0.1949 [3 per cell]
S 0.0000 0.0000 0.8061 [3 per cell]
N 0.0000 0.0000 0.5016 [3 per cell]
O 0.0000 0.0000 0.1117 [3 per cell]
O 0.0000 0.0000 0.8894 [3 per cell]
O 0.0759 0.5379 0.3030 [9 per cell]
O 0.1094 0.2188 0.2235 [9 per cell]
O 0.2052 0.4105 0.0296 [9 per cell]
O 0.2189 0.1095 0.7774 [9 per cell]

Peak list (10 most intense, 2θ from 10° to 90°, low angle first)
(hkl), two_theta, I (rel.)
0 0 3, 15.02, 39.7
0 1 2, 17.02, 100.0
0 2 1, 28.15, 92.6
1 1 3, 28.36, 99.1
0 2 4, 34.43, 21.7
1 0 7, 38.25, 32.5
0 3 3, 44.90, 33.4
2 2 0, 48.95, 36.6
2 2 6, 58.67, 19.0
0 2 10, 59.61, 26.2

What is the formula in the first record? FeH8S2NO10